Entry 1:
Structure and computed X-ray powder pattern of Ac4La3NdS8 (a GGA-PBE-relaxed structure; Cu Kα (λ = 1.5418 Å)).
No peak broadening, texture or thermal motion is included.

Largest 10 diffraction maxima, in order of rising 2θ, 15° ≤ 2θ ≤ 90°:
2θ (°)  I_rel
25.85  88.6
29.93  100.0
42.84  74.5
50.70  34.6
50.76  11.4
53.17  19.8
62.19  12.3
70.48  16.9
70.60  17.0
78.52  19.1

Atomic structure:
```
16
Lattice="4.2181 2.4353 6.9064 -4.2181 2.4353 6.9064 0.0000 -4.8706 6.9064" Properties=species:S:1:pos:R:3 pbc="T T T"
Ac 0.0000 0.0000 0.0000
Ac -2.1091 -1.2177 6.9064
Ac -2.1090 1.2177 13.8128
Ac 0.0000 2.4353 6.9064
La -4.2181 0.0000 10.3596
La -2.1090 1.2177 3.4532
La 2.1091 1.2177 3.4532
Nd 0.0000 0.0000 10.3596
S 0.0000 0.0000 5.1089
S -2.0943 -1.2092 12.0038
S 0.0000 -2.4183 8.7154
S -2.0943 1.2091 8.7154
S 2.0943 -1.2092 12.0038
S 0.0000 2.4183 12.0038
S 2.0943 1.2092 8.7154
S 0.0000 0.0000 15.6103
```

***

Entry 2:
Structure and computed X-ray powder pattern of Pr2HgPb2 (a GGA-PBE-relaxed structure; Cu Kα (λ = 1.5418 Å)).
No peak broadening, texture or thermal motion is included.

Largest 10 diffraction maxima, in order of rising 2θ, 15° ≤ 2θ ≤ 90°:
2θ (°)  I_rel
24.39  24.1
26.46  19.2
30.99  51.4
31.40  100.0
31.93  18.1
34.28  45.8
36.70  41.7
40.16  19.6
42.47  15.4
62.80  14.1

Atomic structure:
```
10
Lattice="2.4488 -8.7554 0.0000 2.4488 8.7554 0.0000 0.0000 0.0000 7.2979" Properties=species:S:1:pos:R:3 pbc="T T T"
Pr 2.4488 8.5670 3.6489
Pr 2.4488 5.2033 6.0843
Pr 2.4488 -5.2033 2.4353
Pr 2.4488 -8.5670 0.0000
Hg 2.4488 1.7195 4.9002
Hg 2.4488 -1.7195 1.2512
Pb 2.4488 5.6364 2.2608
Pb 2.4488 1.3900 1.8443
Pb 2.4488 -1.3900 5.4933
Pb 2.4488 -5.6364 5.9098
```

***

Entry 3:
Structure and computed X-ray powder pattern of Ba4Zr3 (a GGA-PBE-relaxed structure; Cu Kα (λ = 1.5418 Å)).
No peak broadening, texture or thermal motion is included.

Largest 10 diffraction maxima, in order of rising 2θ, 15° ≤ 2θ ≤ 90°:
2θ (°)  I_rel
27.64  42.2
28.34  100.0
30.07  41.5
32.02  26.1
34.17  47.8
45.43  19.5
49.32  42.4
57.08  18.8
64.93  18.6
77.51  14.9

Atomic structure:
```
7
Lattice="6.4547 0.0000 0.0000 -3.2274 5.5900 0.0000 0.0000 0.0000 7.6227" Properties=species:S:1:pos:R:3 pbc="T T T"
Ba 0.0000 0.0000 1.8192
Ba 0.0000 0.0000 5.8035
Ba 0.0000 3.7266 3.8114
Ba 3.2274 1.8633 3.8114
Zr -1.6137 2.7950 0.0000
Zr 3.2274 0.0000 0.0000
Zr 1.6137 2.7950 0.0000
```

***

Entry 4:
Structure and computed X-ray powder pattern of Na2ZnCl4O3 (a GGA-PBE-relaxed structure; Cu Kα (λ = 1.5418 Å)).
No peak broadening, texture or thermal motion is included.

Largest 10 diffraction maxima, in order of rising 2θ, 15° ≤ 2θ ≤ 90°:
2θ (°)  I_rel
20.62  21.7
25.75  100.0
28.81  20.8
29.57  57.2
32.53  53.8
39.02  45.5
45.41  71.2
46.50  19.6
47.85  27.2
49.87  21.7

Atomic structure:
```
10
Lattice="3.4591 -5.9916 0.0000 3.4591 5.9916 0.0000 -0.0143 0.0000 6.1976" Properties=species:S:1:pos:R:3 pbc="T T T"
Na 3.4591 3.9945 0.0000
Na 3.4591 -3.9945 0.0000
Zn 3.4595 0.0000 1.1702
Cl 1.2564 0.0000 1.7564
Cl 3.4453 0.0000 4.9858
Cl 4.5605 1.9077 1.7577
Cl 4.5605 -1.9077 1.7577
O 0.9901 0.0000 5.4476
O 4.6722 2.1261 5.4488
O 4.6722 -2.1261 5.4488
```

***

Entry 5:
Structure and computed X-ray powder pattern of Rb3Er2Br9 (a GGA-PBE-relaxed structure; Cu Kα (λ = 1.5418 Å)).
No peak broadening, texture or thermal motion is included.

Largest 10 diffraction maxima, in order of rising 2θ, 15° ≤ 2θ ≤ 90°:
2θ (°)  I_rel
19.53  14.2
22.60  16.1
27.16  14.5
29.54  100.0
30.22  11.8
38.06  40.4
46.15  32.7
49.50  21.9
54.37  12.9
55.75  14.6

Atomic structure:
```
28
Lattice="6.8136 3.9338 6.5664 -6.8136 3.9338 6.5664 0.0000 -7.8676 6.5664" Properties=species:S:1:pos:R:3 pbc="T T T"
Rb -2.2756 -3.9338 8.2080
Rb -4.5446 0.0039 11.4913
Rb -2.2690 3.9377 8.2080
Rb 2.2690 -3.9377 11.4913
Rb 4.5446 -0.0039 8.2080
Rb 2.2756 3.9338 11.4913
Er 0.0000 0.0000 2.9880
Er 0.0000 0.0000 6.8617
Er 0.0000 0.0000 12.8376
Er 0.0000 0.0000 16.7113
Br -5.7097 1.8095 8.3197
Br -4.4219 -4.0400 11.3796
Br -1.0704 -1.8539 4.9248
Br -2.3917 -0.1062 8.0964
Br -1.0704 1.8539 4.9248
Br 1.2878 -5.8495 8.3197
Br 2.1407 0.0000 4.9248
Br -1.1039 -2.1243 11.6029
Br 1.2878 -2.0182 8.0964
Br -1.2878 2.0182 11.6029
Br 1.1039 2.1243 8.0964
Br -2.1407 0.0000 14.7745
Br -1.2878 5.8495 11.3796
Br 1.0704 -1.8539 14.7745
Br 2.3917 0.1062 11.6029
Br 1.0704 1.8539 14.7745
Br 4.4219 4.0400 8.3197
Br 5.7097 -1.8095 11.3796
```

***

Entry 6:
Structure and computed X-ray powder pattern of Pm7YSc2 (a GGA-PBE-relaxed structure; Cu Kα (λ = 1.5418 Å)).
No peak broadening, texture or thermal motion is included.

Largest 10 diffraction maxima, in order of rising 2θ, 15° ≤ 2θ ≤ 90°:
2θ (°)  I_rel
30.03  100.0
31.20  86.9
31.75  52.2
31.90  44.1
32.01  73.3
32.38  81.1
33.02  29.4
37.33  52.3
47.62  26.1
61.71  28.2

Atomic structure:
```
10
Lattice="3.5301 0.0000 0.0000 -1.7646 8.4132 0.0000 -0.0147 -3.7645 10.8340" Properties=species:S:1:pos:R:3 pbc="T T T"
Pm 0.0000 0.0000 0.0000
Pm -0.0070 0.6777 3.2829
Pm -0.0092 1.5387 9.4783
Pm -0.0055 6.1414 2.2793
Pm 1.7563 -1.4927 8.5546
Pm 1.7600 3.1099 1.3556
Pm 1.7578 3.9709 7.5510
Y -0.0073 -1.8823 5.4170
Sc -0.0081 3.5761 4.6243
Sc 1.7589 1.0725 6.2097
```

***

Entry 7:
Structure and computed X-ray powder pattern of Pr4MgCd (a GGA-PBE-relaxed structure; Cu Kα (λ = 1.5418 Å)).
No peak broadening, texture or thermal motion is included.

Largest 10 diffraction maxima, in order of rising 2θ, 15° ≤ 2θ ≤ 90°:
2θ (°)  I_rel
25.67  12.2
30.50  21.4
31.65  28.0
31.94  100.0
34.47  9.7
44.53  15.0
47.04  9.3
55.12  9.6
56.55  19.4
57.81  9.9

Atomic structure:
```
6
Lattice="8.7933 -1.9317 0.0000 8.7933 1.9317 0.0000 -0.0021 0.0000 5.6541" Properties=species:S:1:pos:R:3 pbc="T T T"
Pr 0.0000 0.0000 0.0000
Pr 9.5982 0.0000 2.8275
Pr 12.0912 0.0000 0.0036
Pr 15.0970 0.0000 2.8272
Mg 3.5483 0.0000 2.8316
Cd 5.9949 0.0000 5.6535
```

***

Entry 8:
Structure and computed X-ray powder pattern of Hf12Co6Sb (a GGA-PBE-relaxed structure; Cu Kα (λ = 1.5418 Å)).
No peak broadening, texture or thermal motion is included.

Largest 10 diffraction maxima, in order of rising 2θ, 15° ≤ 2θ ≤ 90°:
2θ (°)  I_rel
28.29  12.5
31.71  43.5
34.83  38.0
37.72  100.0
40.43  15.9
52.27  14.2
60.49  33.2
62.44  12.3
64.35  36.9
75.30  16.8

Atomic structure:
```
19
Lattice="-4.4619 4.4619 4.4619 4.4619 -4.4619 4.4619 4.4619 4.4619 -4.4619" Properties=species:S:1:pos:R:3 pbc="T T T"
Hf 4.4619 2.8002 -1.7868
Hf 2.6751 0.0000 1.6617
Hf 6.2487 0.0000 1.6617
Hf 1.6617 2.6751 0.0000
Hf 2.8002 -1.7868 4.4619
Hf 0.0000 1.6617 2.6751
Hf 4.4619 2.8002 1.7868
Hf 1.6617 6.2487 0.0000
Hf 2.8002 1.7868 4.4619
Hf -1.7868 4.4619 2.8002
Hf 1.7868 4.4619 2.8002
Hf 0.0000 1.6617 6.2487
Co 4.4619 1.2152 0.0000
Co 4.4619 0.0000 3.2467
Co 3.2467 4.4619 0.0000
Co 1.2152 0.0000 4.4619
Co 0.0000 4.4619 1.2152
Co 0.0000 3.2467 4.4619
Sb 0.0000 0.0000 0.0000
```

***

Entry 9:
Structure and computed X-ray powder pattern of Dy2Ge6Pd (a GGA-PBE-relaxed structure; Cu Kα (λ = 1.5418 Å)).
No peak broadening, texture or thermal motion is included.

Largest 10 diffraction maxima, in order of rising 2θ, 15° ≤ 2θ ≤ 90°:
2θ (°)  I_rel
33.10  25.7
33.21  15.0
33.37  100.0
37.41  16.6
43.80  19.0
44.07  23.5
44.46  22.6
56.56  15.5
63.88  13.9
64.39  13.6

Atomic structure:
```
36
Lattice="4.1095 -4.0755 0.0000 4.1095 4.0755 0.0000 0.0000 0.0000 21.5836" Properties=species:S:1:pos:R:3 pbc="T T T"
Dy 2.0440 1.0150 1.7297
Dy 2.0655 1.0150 9.0621
Dy 2.0440 -1.0150 19.8539
Dy 2.0655 -1.0150 12.5214
Dy 6.1535 1.0150 9.0621
Dy 6.1750 1.0150 1.7297
Dy 6.1535 -1.0150 12.5214
Dy 6.1750 -1.0150 19.8539
Ge 4.1095 3.2996 14.9491
Ge 1.8273 1.0262 14.9453
Ge 4.1095 3.1174 9.8458
Ge 4.1095 2.9881 0.6014
Ge 2.2821 1.0262 17.4300
Ge 4.1095 2.8295 17.4493
Ge 4.1095 1.2459 6.6575
Ge 1.8273 -1.0262 6.6382
Ge 4.1095 1.0873 11.3932
Ge 4.1095 0.9581 20.6376
Ge 2.2821 -1.0262 4.1536
Ge 4.1095 0.7759 4.1573
Ge 4.1095 -0.7759 17.4262
Ge 5.9368 1.0262 17.4300
Ge 4.1095 -0.9581 0.9460
Ge 4.1095 -1.0873 10.1903
Ge 6.3916 1.0262 14.9453
Ge 4.1095 -1.2459 14.9261
Ge 4.1095 -2.8295 4.1343
Ge 5.9368 -1.0262 4.1536
Ge 4.1095 -2.9881 20.9821
Ge 4.1095 -3.1174 11.7377
Ge 6.3916 -1.0262 6.6382
Ge 4.1095 -3.2996 6.6345
Pd 4.1095 3.0413 3.0636
Pd 4.1095 1.0342 13.8554
Pd 4.1095 -1.0342 7.7281
Pd 4.1095 -3.0413 18.5199
```

***

Entry 10:
Structure and computed X-ray powder pattern of NdTcAg2O6 (a GGA-PBE-relaxed structure; Cu Kα (λ = 1.5418 Å)).
No peak broadening, texture or thermal motion is included.

Largest 10 diffraction maxima, in order of rising 2θ, 15° ≤ 2θ ≤ 90°:
2θ (°)  I_rel
30.26  100.0
31.16  86.9
43.98  43.7
53.18  16.9
54.88  38.5
55.44  23.2
62.93  12.4
64.97  11.2
71.89  14.9
73.34  16.3

Atomic structure:
```
10
Lattice="2.8706 1.6573 4.8963 -2.8706 1.6573 4.8963 0.0000 -3.3147 4.8963" Properties=species:S:1:pos:R:3 pbc="T T T"
Nd 0.0000 0.0000 0.0000
Tc 0.0000 0.0000 7.3848
Ag 0.0000 0.0000 3.7596
Ag 0.0000 0.0000 10.7606
O -0.6098 -1.4528 6.3703
O -1.5360 -0.1602 8.5964
O -0.9533 1.2545 6.3703
O 0.9068 -1.2502 8.5964
O 1.5631 0.1983 6.3703
O 0.6293 1.4104 8.5964
```